For BaCaLaSbO6, a cell relaxed with PBE gives the calculated powder XRD pattern in this record (Cu Kα (λ = 1.5418 Å)).
Kinematic intensities with the Lorentz-polarization factor, no thermal factor.

Structural model:
Cell lengths 6.0093, 6.0741, 8.5851 Å; angles 90.45, 90.69, 90.16 degrees
Fractional positions:
Ba 0.0050 0.0315 0.2508
Ba 0.9950 0.9685 0.7492
Ca 0.4906 0.5399 0.2555
Ca 0.5094 0.4601 0.7445
La 0.0000 0.5000 0.5000
La 0.5000 0.0000 0.0000
Sb 0.0000 0.5000 0.0000
Sb 0.5000 0.0000 0.5000
O 0.1132 0.5002 0.7739
O 0.1903 0.7683 0.0411
O 0.2278 0.8092 0.4741
O 0.2683 0.3144 0.0658
O 0.3235 0.2783 0.4436
O 0.4370 0.0633 0.7281
O 0.5630 0.9367 0.2719
O 0.6765 0.7217 0.5564
O 0.7317 0.6856 0.9342
O 0.7722 0.1908 0.5259
O 0.8097 0.2317 0.9589
O 0.8868 0.4998 0.2261

Top 8 peaks for 2θ from 15° to 90°, sorted by position:
two_theta  d (Å)  Rel. int.
29.3  3.047  49
29.4  3.036  100
29.5  3.025  53
29.7  3.004  93
42.1  2.146  27
42.4  2.133  26
52.0  1.758  33
52.4  1.746  33



For BaCaLaSbO6, a cell relaxed with PBE gives the calculated powder XRD pattern in this record (Cu Kα (λ = 1.5418 Å)).
Kinematic intensities with the Lorentz-polarization factor, no thermal factor.

Structural model:
Cell lengths 8.5386, 8.5797, 8.5833 Å; angles 90.00, 90.00, 90.00 degrees
Fractional positions:
Ba 0.2500 0.2500 0.2500
Ba 0.2500 0.2500 0.7500
Ba 0.7500 0.7500 0.2500
Ba 0.7500 0.7500 0.7500
Ca 0.2500 0.7500 0.2500
Ca 0.2500 0.7500 0.7500
Ca 0.7500 0.2500 0.2500
Ca 0.7500 0.2500 0.7500
La 0.0000 0.0000 0.0000
La 0.0000 0.5000 0.5000
La 0.5000 0.0000 0.5000
La 0.5000 0.5000 0.0000
Sb 0.0000 0.0000 0.5000
Sb 0.0000 0.5000 0.0000
Sb 0.5000 0.0000 0.0000
Sb 0.5000 0.5000 0.5000
O 0.0386 0.7279 0.0578
O 0.0386 0.7721 0.4422
O 0.0443 0.5524 0.7719
O 0.0443 0.9476 0.7281
O 0.2305 0.0368 0.4716
O 0.2305 0.4632 0.0284
O 0.2695 0.0368 0.0284
O 0.2695 0.4632 0.4716
O 0.4557 0.5524 0.7281
O 0.4557 0.9476 0.7719
O 0.4614 0.7279 0.4422
O 0.4614 0.7721 0.0578
O 0.5386 0.2279 0.9422
O 0.5386 0.2721 0.5578
O 0.5443 0.0524 0.2281
O 0.5443 0.4476 0.2719
O 0.7305 0.5368 0.5284
O 0.7305 0.9632 0.9716
O 0.7695 0.5368 0.9716
O 0.7695 0.9632 0.5284
O 0.9557 0.0524 0.2719
O 0.9557 0.4476 0.2281
O 0.9614 0.2279 0.5578
O 0.9614 0.2721 0.9422

Top 8 peaks for 2θ from 15° to 90°, sorted by position:
two_theta  d (Å)  Rel. int.
29.5  3.029  100
42.1  2.145  18
42.3  2.135  9
52.3  1.750  30
52.4  1.746  15
61.3  1.513  11
69.3  1.357  12
84.6  1.145  8



For BaCaMg6, a cell relaxed with PBE gives the calculated powder XRD pattern in this record (Cu Kα (λ = 1.5418 Å)).
Kinematic intensities with the Lorentz-polarization factor, no thermal factor.

Structural model:
Cell lengths 5.4679, 7.0576, 7.0576 Å; angles 59.96, 90.00, 90.00 degrees
Fractional positions:
Ba 0.0000 0.0000 0.0000
Ca 0.5000 0.1860 0.1860
Mg 0.0000 0.0097 0.5065
Mg 0.0000 0.5034 0.5034
Mg 0.0000 0.5065 0.0097
Mg 0.5000 0.1872 0.6571
Mg 0.5000 0.6571 0.1872
Mg 0.5000 0.6743 0.6743

Top 8 peaks for 2θ from 15° to 90°, sorted by position:
two_theta  d (Å)  Rel. int.
21.8  4.075  46
29.2  3.056  29
30.1  2.965  20
32.8  2.734  24
33.6  2.667  100
44.5  2.037  21
51.8  1.764  28
62.7  1.482  19



For BaCaMg6, a cell relaxed with PBE gives the calculated powder XRD pattern in this record (Cu Kα (λ = 1.5418 Å)).
Kinematic intensities with the Lorentz-polarization factor, no thermal factor.

Structural model:
Cell lengths 5.4409, 7.0920, 7.0920 Å; angles 61.32, 90.00, 90.00 degrees
Fractional positions:
Ba 0.0000 0.0000 0.0000
Ca 0.0000 0.5007 0.5007
Mg 0.0000 0.4994 0.9929
Mg 0.0000 0.9929 0.4994
Mg 0.5000 0.3225 0.3225
Mg 0.5000 0.3579 0.8318
Mg 0.5000 0.8152 0.8152
Mg 0.5000 0.8318 0.3579

Top 8 peaks for 2θ from 15° to 90°, sorted by position:
two_theta  d (Å)  Rel. int.
16.3  5.441  25
21.7  4.096  30
21.9  4.061  32
28.7  3.111  33
32.9  2.720  33
33.2  2.701  100
33.7  2.661  46
51.6  1.772  24



For BaCaMg6O8, a cell relaxed with PBE gives the calculated powder XRD pattern in this record (Cu Kα (λ = 1.5418 Å)).
Kinematic intensities with the Lorentz-polarization factor, no thermal factor.

Structural model:
Cell lengths 4.7353, 4.7353, 8.9877 Å; angles 90.00, 90.00, 90.00 degrees
Fractional positions:
Ba 0.0000 0.0000 0.0000
Ca 0.5000 0.5000 0.0000
Mg 0.0000 0.0000 0.5000
Mg 0.0000 0.5000 0.2734
Mg 0.0000 0.5000 0.7266
Mg 0.5000 0.0000 0.2734
Mg 0.5000 0.0000 0.7266
Mg 0.5000 0.5000 0.5000
O 0.0000 0.0000 0.2838
O 0.0000 0.0000 0.7162
O 0.0000 0.5000 0.0000
O 0.0000 0.5000 0.5000
O 0.5000 0.0000 0.0000
O 0.5000 0.0000 0.5000
O 0.5000 0.5000 0.2685
O 0.5000 0.5000 0.7315

Top 8 peaks for 2θ from 15° to 90°, sorted by position:
two_theta  d (Å)  Rel. int.
21.2  4.189  30
28.4  3.138  33
33.4  2.685  51
38.0  2.368  100
40.1  2.247  37
54.8  1.674  31
56.5  1.630  48
70.1  1.342  24